Entry 1:
Simulated powder X-ray diffraction pattern
Compound: Pm2Cd2Ge4Pd
Radiation: Cu Kα
Structure: a DFT-relaxed cell (GGA-PBE, Alexandria)
No peak broadening, texture or thermal motion is included.

Atomic structure:
Cell: 6.4755 6.4755 6.4755 Å, 118.60 118.60 92.44°
Fractional coordinates of all 9 atoms:
Pm (0.2500, 0.7500, 0.5000)
Pm (0.7500, 0.2500, 0.5000)
Cd (0.2037, 0.2037, 0.0000)
Cd (0.7963, 0.7963, 0.0000)
Ge (0.2306, 0.2306, 0.4611)
Ge (0.2306, 0.7694, 0.0000)
Ge (0.7694, 0.2306, 0.0000)
Ge (0.7694, 0.7694, 0.5389)
Pd (0.5000, 0.5000, 0.0000)

Top 8 peaks for 10 to 80 degrees two-theta, most intense first:
2θ (°), d [Å], I_rel
33.7, 2.660, 100
38.5, 2.338, 65
56.9, 1.617, 29
66.6, 1.404, 24
27.0, 3.306, 23
43.0, 2.101, 23
40.3, 2.240, 21
55.6, 1.653, 21

Entry 2:
Simulated powder X-ray diffraction pattern
Compound: SrCd2GePd2
Radiation: Cu Kα
Structure: a DFT-relaxed cell (GGA-PBE, Alexandria)
No peak broadening, texture or thermal motion is included.

Atomic structure:
Cell: 4.7856 4.7856 6.1841 Å, 90.00 90.00 90.00°
Fractional coordinates of all 6 atoms:
Sr (0.0000, 0.0000, 0.0000)
Cd (0.5000, 0.5000, 0.2363)
Cd (0.5000, 0.5000, 0.7637)
Ge (0.0000, 0.0000, 0.5000)
Pd (0.0000, 0.5000, 0.5000)
Pd (0.5000, 0.0000, 0.5000)

Top 8 peaks for 10 to 80 degrees two-theta, most intense first:
2θ (°), d [Å], I_rel
34.5, 2.597, 100
37.6, 2.393, 97
52.0, 1.760, 66
30.1, 2.969, 59
14.3, 6.184, 49
39.5, 2.283, 35
54.2, 1.692, 33
72.8, 1.299, 25

Entry 3:
Simulated powder X-ray diffraction pattern
Compound: PmCdGe
Radiation: Cu Kα
Structure: a DFT-relaxed cell (GGA-PBE, Alexandria)
No peak broadening, texture or thermal motion is included.

Atomic structure:
Cell: 4.5000 4.5000 4.1830 Å, 90.00 90.00 120.00°
Fractional coordinates of all 3 atoms:
Pm (0.0000, 0.0000, 0.0000)
Cd (0.6667, 0.3333, 0.4604)
Ge (0.3333, 0.6667, 0.5997)

Top 8 peaks for 10 to 80 degrees two-theta, most intense first:
2θ (°), d [Å], I_rel
31.4, 2.851, 100
40.1, 2.250, 48
51.8, 1.766, 24
67.4, 1.389, 21
60.4, 1.532, 18
49.5, 1.843, 11
43.3, 2.092, 8
71.9, 1.313, 8

Entry 4:
Simulated powder X-ray diffraction pattern
Compound: PmCdGe2Rh5
Radiation: Cu Kα
Structure: a DFT-relaxed cell (GGA-PBE, Alexandria)
No peak broadening, texture or thermal motion is included.

Atomic structure:
Cell: 4.5939 4.5939 7.5767 Å, 90.00 90.00 90.00°
Fractional coordinates of all 9 atoms:
Pm (0.0000, 0.0000, 0.0000)
Cd (0.0000, 0.0000, 0.5000)
Ge (0.5000, 0.5000, 0.3298)
Ge (0.5000, 0.5000, 0.6702)
Rh (0.0000, 0.5000, 0.2595)
Rh (0.0000, 0.5000, 0.7405)
Rh (0.5000, 0.0000, 0.2595)
Rh (0.5000, 0.0000, 0.7405)
Rh (0.5000, 0.5000, 0.0000)

Top 8 peaks for 10 to 80 degrees two-theta, most intense first:
2θ (°), d [Å], I_rel
36.4, 2.466, 100
39.2, 2.297, 72
69.3, 1.356, 29
56.7, 1.624, 24
63.7, 1.461, 19
30.6, 2.923, 18
48.0, 1.894, 12
77.4, 1.233, 11

Copy entry 4 word for word.
Simulated powder X-ray diffraction pattern
Compound: PmCdGe2Rh5
Radiation: Cu Kα
Structure: a DFT-relaxed cell (GGA-PBE, Alexandria)
No peak broadening, texture or thermal motion is included.

Atomic structure:
Cell: 4.5939 4.5939 7.5767 Å, 90.00 90.00 90.00°
Fractional coordinates of all 9 atoms:
Pm (0.0000, 0.0000, 0.0000)
Cd (0.0000, 0.0000, 0.5000)
Ge (0.5000, 0.5000, 0.3298)
Ge (0.5000, 0.5000, 0.6702)
Rh (0.0000, 0.5000, 0.2595)
Rh (0.0000, 0.5000, 0.7405)
Rh (0.5000, 0.0000, 0.2595)
Rh (0.5000, 0.0000, 0.7405)
Rh (0.5000, 0.5000, 0.0000)

Top 8 peaks for 10 to 80 degrees two-theta, most intense first:
2θ (°), d [Å], I_rel
36.4, 2.466, 100
39.2, 2.297, 72
69.3, 1.356, 29
56.7, 1.624, 24
63.7, 1.461, 19
30.6, 2.923, 18
48.0, 1.894, 12
77.4, 1.233, 11